This entry pairs a crystal structure of SiO2 with its calculated PXRD pattern. Radiation: Cu Kα (λ = 1.5418 Å). Structure: a structure optimized by DFT (GGA-PBE).
Peak positions follow from Bragg's law for the DFT cell and can differ from measured ones.

Main lines, by angle (10 to 80 degrees two-theta):
2θ = 15.73°, I 14, hkl 1 0 1; 2θ = 19.25°, I 53, hkl 1 0 3; 2θ = 21.62°, I 100, hkl 1 1 0; 2θ = 24.88°, I 30, hkl 1 0 5; 2θ = 31.54°, I 13, hkl 0 0 8; 2θ = 36.54°, I 8, hkl 2 1 3; 2θ = 39.96°, I 13, hkl 2 1 5; 2θ = 44.05°, I 9, hkl 2 2 0; 2θ = 46.71°, I 6, hkl 1 0 11; 2θ = 60.97°, I 8, hkl 3 2 5

Structural model:
```
data_SiO2
_chemical_formula_sum 'Si16 O32'
_cell_length_a 5.8141
_cell_length_b 5.8141
_cell_length_c 22.6990
_cell_angle_alpha 90.00
_cell_angle_beta 90.00
_cell_angle_gamma 90.00
_space_group_name_H-M_alt 'I 41 2 2'
_space_group_IT_number 98
_space_group_name_Hall 'I 4bw 2bw'
loop_
_atom_site_label
_atom_site_type_symbol
_atom_site_fract_x
_atom_site_fract_y
_atom_site_fract_z
_atom_site_occupancy
Si1 Si 0.1267 0.7487 0.4384 1
O1 O 0.0000 0.0000 0.1853 1
O2 O 0.0000 0.0000 0.4419 1
O3 O 0.2264 0.7264 0.2500 1
O4 O 0.2347 0.7500 0.6250 1
```